1.
Structure and theoretical powder diffraction line list of Ga2TeOs (a GGA-PBE-relaxed structure; Cu Kα (weighted mean of Kα1 and Kα2)).
Kinematic intensities with the Lorentz-polarization factor, no thermal factor.

Crystal structure
a b c (Å): 6.0020 6.0020 11.9413
angles (deg): 90.00 90.00 90.00
Space group I-42d (No. 122)
Unique sites:
Ga1 0.1963 0.2500 0.1250 [8 per cell]
Te1 0.0000 0.0000 0.5000 [4 per cell]
Os1 0.0000 0.0000 0.0000 [4 per cell]

Most intense lines, 2θ = 5–70°, low angle first:
| two_theta | d_spacing | Rel. int. | hkl |
| --- | --- | --- | --- |
| 16.53 | 5.363 | 11 | 1 0 1 |
| 25.75 | 3.459 | 100 | 1 1 2 |
| 29.77 | 3.001 | 10 | 2 0 0 |
| 42.61 | 2.122 | 20 | 2 2 0 |
| 42.72 | 2.116 | 44 | 2 0 4 |
| 50.45 | 1.809 | 30 | 3 1 2 |
| 50.66 | 1.802 | 16 | 1 1 6 |
| 68.29 | 1.374 | 12 | 3 1 6 |

=====

2.
Structure and theoretical powder diffraction line list of Th2Ga4Os3 (a GGA-PBE-relaxed structure; Cu Kα (weighted mean of Kα1 and Kα2)).
Kinematic intensities with the Lorentz-polarization factor, no thermal factor.

Crystal structure
a b c (Å): 5.3703 9.8600 13.0850
angles (deg): 90.00 90.00 90.00
Space group Fmmm (No. 69)
Unique sites:
Th1 0.0000 0.0000 0.1257 [8 per cell]
Ga1 0.0000 0.1716 0.3377 [16 per cell]
Os1 0.0000 0.0000 0.5000 [4 per cell]
Os2 0.2500 0.2500 0.0000 [8 per cell]

Most intense lines, 2θ = 5–70°, low angle first:
| two_theta | d_spacing | Rel. int. | hkl |
| --- | --- | --- | --- |
| 13.53 | 6.543 | 54 | 0 0 2 |
| 27.86 | 3.202 | 31 | 1 1 3 |
| 32.86 | 2.726 | 22 | 0 2 4 |
| 36.45 | 2.465 | 23 | 0 4 0 |
| 38.16 | 2.358 | 100 | 2 2 0 |
| 39.38 | 2.288 | 28 | 1 1 5 |
| 40.67 | 2.218 | 33 | 2 2 2 |
| 43.61 | 2.076 | 23 | 2 0 4 |

=====

3.
Structure and theoretical powder diffraction line list of Th3Ga9Os2 (a GGA-PBE-relaxed structure; Cu Kα (weighted mean of Kα1 and Kα2)).
Kinematic intensities with the Lorentz-polarization factor, no thermal factor.

Crystal structure
a b c (Å): 4.3687 9.9073 12.5465
angles (deg): 90.00 90.00 90.00
Space group Immm (No. 71)
Unique sites:
Th1 0.0000 0.0000 0.0000 [2 per cell]
Th2 0.0000 0.0000 0.3258 [4 per cell]
Ga1 0.0000 0.2784 0.1254 [8 per cell]
Ga2 0.0000 0.3685 0.3324 [8 per cell]
Ga3 0.0000 0.5000 0.0000 [2 per cell]
Os1 0.0000 0.2171 0.5000 [4 per cell]

Most intense lines, 2θ = 5–70°, low angle first:
| two_theta | d_spacing | Rel. int. | hkl |
| --- | --- | --- | --- |
| 22.24 | 3.997 | 17 | 1 1 0 |
| 34.03 | 2.634 | 20 | 1 3 0 |
| 34.61 | 2.592 | 28 | 0 3 3 |
| 34.78 | 2.579 | 100 | 1 2 3 |
| 41.33 | 2.184 | 29 | 2 0 0 |
| 43.27 | 2.091 | 17 | 0 0 6 |
| 54.98 | 1.670 | 15 | 2 3 3 |
| 56.15 | 1.638 | 13 | 2 4 0 |